No. 1
Diffraction record for Ho3NiGe2. The XRD peak list is theoretical, not measured: it uses a cell relaxed with PBE and Cu Kα (λ = 1.5418 Å).
Lines closer than 0.1° are merged.

Main lines, by intensity (2θ from 5° to 70°):
2theta, d [Å], intensity
32.2, 2.780, 100
35.9, 2.500, 81
43.7, 2.073, 62
31.1, 2.875, 61
27.8, 3.206, 52
28.5, 3.134, 48
39.4, 2.290, 44
32.8, 2.727, 40

abc: 11.327 4.147 11.241
angles: 90.00 90.00 90.00
Sites, in units of the cell vectors:
Ho1 0.056 0.250 0.129
Ho2 0.121 0.750 0.558
Ho3 0.219 0.250 0.802
Ho4 0.281 0.750 0.302
Ho5 0.379 0.250 0.058
Ho6 0.444 0.750 0.629
Ho7 0.556 0.250 0.371
Ho8 0.621 0.750 0.942
Ho9 0.719 0.250 0.698
Ho10 0.781 0.750 0.198
Ho11 0.879 0.250 0.442
Ho12 0.944 0.750 0.871
Ni1 0.129 0.250 0.369
Ni2 0.371 0.750 0.869
Ni3 0.629 0.250 0.131
Ni4 0.871 0.750 0.631
Ge1 0.018 0.750 0.315
Ge2 0.190 0.750 0.996
Ge3 0.310 0.250 0.496
Ge4 0.482 0.250 0.815
Ge5 0.518 0.750 0.185
Ge6 0.690 0.750 0.504
Ge7 0.810 0.250 0.004
Ge8 0.982 0.250 0.685

No. 2
Diffraction record for HoNiGe. The XRD peak list is theoretical, not measured: it uses a cell relaxed with PBE and Cu Kα (λ = 1.5418 Å).
Lines closer than 0.1° are merged.

Main lines, by intensity (2θ from 5° to 70°):
2theta, d [Å], intensity
36.1, 2.490, 100
34.6, 2.589, 48
41.8, 2.159, 45
43.8, 2.068, 32
35.4, 2.536, 28
24.5, 3.632, 24
35.2, 2.547, 17
57.5, 1.602, 14

abc: 10.198 4.135 6.841
angles: 90.00 131.88 90.00
Sites, in units of the cell vectors:
Ho1 0.048 0.000 0.308
Ho2 0.452 0.500 0.692
Ho3 0.548 0.500 0.308
Ho4 0.952 0.000 0.692
Ni1 0.170 0.500 0.721
Ni2 0.330 0.000 0.279
Ni3 0.670 0.000 0.721
Ni4 0.830 0.500 0.279
Ge1 0.170 0.500 0.107
Ge2 0.330 0.000 0.893
Ge3 0.670 0.000 0.107
Ge4 0.830 0.500 0.893